Computed powder XRD pattern of Mg3Bi2N4 for copper Kα, from a crystal structure in the Materials Project, relaxed with GGA-PBE.

Principal peaks in the range 15° ≤ 2θ ≤ 90°, in order of falling intensity:
| 2θ/deg | d/Å | I (rel.) |
| --- | --- | --- |
| 23.78 | 3.742 | 1000 |
| 29.16 | 3.063 | 480 |
| 32.28 | 2.773 | 478 |
| 34.06 | 2.632 | 434 |
| 18.47 | 4.804 | 427 |
| 30.78 | 2.904 | 401 |
| 19.29 | 4.602 | 386 |
| 34.25 | 2.618 | 380 |

Structural model:
Unit cell a=7.1709 b=7.1709 c=5.4581 alpha=97.74 beta=97.74 gamma=93.79
Atoms (fractional coordinates):
Mg 0.2244 0.7756 0.7500
Mg 0.3088 0.4711 0.3575
Mg 0.4711 0.3088 0.8575
Mg 0.5289 0.6912 0.1425
Mg 0.6912 0.5289 0.6425
Mg 0.7756 0.2244 0.2500
Bi 0.0632 0.2938 0.8031
Bi 0.2938 0.0632 0.3031
Bi 0.7062 0.9368 0.6969
Bi 0.9368 0.7062 0.1969
N 0.0784 0.2821 0.3858
N 0.2821 0.0784 0.8858
N 0.2843 0.5277 0.9653
N 0.4723 0.7157 0.5347
N 0.5277 0.2843 0.4653
N 0.7157 0.4723 0.0347
N 0.7179 0.9216 0.1142
N 0.9216 0.7179 0.6142



Computed powder XRD pattern of NaMg14Bi for copper Kα, from a crystal structure in the Materials Project, relaxed with GGA-PBE.

Principal peaks in the range 15° ≤ 2θ ≤ 90°, in order of falling intensity:
| 2θ/deg | d/Å | I (rel.) |
| --- | --- | --- |
| 36.13 | 2.486 | 1000 |
| 17.84 | 4.972 | 673 |
| 15.73 | 5.632 | 407 |
| 23.07 | 3.856 | 376 |
| 31.78 | 2.816 | 292 |
| 33.89 | 2.645 | 257 |
| 28.72 | 3.108 | 221 |
| 37.60 | 2.392 | 214 |

Structural model:
Unit cell a=6.5033 b=6.5033 c=10.5807 alpha=90.00 beta=90.00 gamma=120.00
Atoms (fractional coordinates):
Na 0.0000 0.0000 0.0000
Mg 0.0014 0.5007 0.0000
Mg 0.1697 0.3394 0.2489
Mg 0.1697 0.3394 0.7511
Mg 0.1697 0.8303 0.2489
Mg 0.1697 0.8303 0.7511
Mg 0.4993 0.5007 0.0000
Mg 0.4993 0.9986 0.0000
Mg 0.5006 0.0011 0.5000
Mg 0.5006 0.4994 0.5000
Mg 0.6606 0.8303 0.2489
Mg 0.6606 0.8303 0.7511
Mg 0.6667 0.3333 0.2492
Mg 0.6667 0.3333 0.7508
Mg 0.9989 0.4994 0.5000
Bi 0.0000 0.0000 0.5000



Computed powder XRD pattern of NaMg6Bi for copper Kα, from a crystal structure in the Materials Project, relaxed with GGA-PBE.

Principal peaks in the range 15° ≤ 2θ ≤ 90°, in order of falling intensity:
| 2θ/deg | d/Å | I (rel.) |
| --- | --- | --- |
| 36.09 | 2.489 | 1000 |
| 15.75 | 5.628 | 979 |
| 22.98 | 3.871 | 862 |
| 31.82 | 2.812 | 738 |
| 35.32 | 2.541 | 525 |
| 15.33 | 5.781 | 481 |
| 22.69 | 3.920 | 441 |
| 16.62 | 5.332 | 423 |

Structural model:
Unit cell a=5.3325 b=6.4421 c=11.5627 alpha=90.00 beta=90.00 gamma=90.00
Atoms (fractional coordinates):
Na 0.0000 0.0000 0.0000
Na 0.0000 0.5000 0.5000
Mg 0.0000 0.2483 0.2490
Mg 0.0000 0.2517 0.7490
Mg 0.0000 0.7483 0.7490
Mg 0.0000 0.7517 0.2490
Mg 0.5000 0.0000 0.1682
Mg 0.5000 0.0000 0.6711
Mg 0.5000 0.2463 0.9127
Mg 0.5000 0.2537 0.4127
Mg 0.5000 0.5000 0.1711
Mg 0.5000 0.5000 0.6682
Mg 0.5000 0.7463 0.4127
Mg 0.5000 0.7537 0.9127
Bi 0.0000 0.0000 0.4987
Bi 0.0000 0.5000 0.9987



Computed powder XRD pattern of NaMg14Bi for copper Kα, from a crystal structure in the Materials Project, relaxed with GGA-PBE.

Principal peaks in the range 15° ≤ 2θ ≤ 90°, in order of falling intensity:
| 2θ/deg | d/Å | I (rel.) |
| --- | --- | --- |
| 36.60 | 2.455 | 1000 |
| 18.07 | 4.910 | 677 |
| 36.16 | 2.484 | 504 |
| 15.98 | 5.547 | 437 |
| 33.99 | 2.637 | 391 |
| 23.27 | 3.822 | 381 |
| 17.85 | 4.968 | 328 |
| 32.28 | 2.774 | 283 |

Structural model:
Unit cell a=10.5490 b=6.4709 c=6.4709 alpha=59.01 beta=90.00 gamma=90.00
Atoms (fractional coordinates):
Na 0.0000 0.0000 0.0000
Mg 0.0000 0.0013 0.4973
Mg 0.0000 0.4973 0.0013
Mg 0.2529 0.6693 0.6693
Mg 0.2553 0.1683 0.1683
Mg 0.2573 0.1633 0.6657
Mg 0.2573 0.6657 0.1633
Mg 0.5000 0.9997 0.9997
Mg 0.5000 0.5002 0.5002
Mg 0.5000 0.5006 0.9991
Mg 0.5000 0.9991 0.5006
Mg 0.7427 0.1633 0.6657
Mg 0.7427 0.6657 0.1633
Mg 0.7447 0.1683 0.1683
Mg 0.7471 0.6693 0.6693
Bi 0.0000 0.4979 0.4979



Computed powder XRD pattern of NaMg6Bi for copper Kα, from a crystal structure in the Materials Project, relaxed with GGA-PBE.

Principal peaks in the range 15° ≤ 2θ ≤ 90°, in order of falling intensity:
| 2θ/deg | d/Å | I (rel.) |
| --- | --- | --- |
| 15.46 | 5.732 | 1000 |
| 23.07 | 3.855 | 862 |
| 35.70 | 2.515 | 691 |
| 35.86 | 2.504 | 349 |
| 17.02 | 5.210 | 284 |
| 31.15 | 2.871 | 262 |
| 32.08 | 2.790 | 247 |
| 34.43 | 2.605 | 239 |

Structural model:
Unit cell a=5.2100 b=6.6435 c=11.4213 alpha=90.00 beta=90.00 gamma=90.00
Atoms (fractional coordinates):
Na 0.0000 0.0000 0.0000
Na 0.0000 0.5000 0.5000
Mg 0.0000 0.0000 0.5007
Mg 0.0000 0.2436 0.2448
Mg 0.0000 0.2564 0.7448
Mg 0.0000 0.5000 0.0007
Mg 0.0000 0.7436 0.7448
Mg 0.0000 0.7564 0.2448
Mg 0.5000 0.0000 0.3325
Mg 0.5000 0.2452 0.5828
Mg 0.5000 0.2548 0.0828
Mg 0.5000 0.5000 0.8325
Mg 0.5000 0.7452 0.0828
Mg 0.5000 0.7548 0.5828
Bi 0.5000 0.0000 0.8321
Bi 0.5000 0.5000 0.3321



Computed powder XRD pattern of NaMg14BiO16 for copper Kα, from a crystal structure in the Materials Project, relaxed with GGA-PBE.

Principal peaks in the range 15° ≤ 2θ ≤ 90°, in order of falling intensity:
| 2θ/deg | d/Å | I (rel.) |
| --- | --- | --- |
| 41.11 | 2.196 | 1000 |
| 22.67 | 3.922 | 593 |
| 59.91 | 1.544 | 570 |
| 41.59 | 2.172 | 477 |
| 35.54 | 2.526 | 448 |
| 24.88 | 3.579 | 379 |
| 59.54 | 1.553 | 293 |
| 30.56 | 2.925 | 286 |

Structural model:
Unit cell a=4.3925 b=8.6862 c=8.7812 alpha=90.00 beta=90.00 gamma=90.00
Atoms (fractional coordinates):
Na 0.0000 0.0000 0.0000
Mg 0.0000 0.2559 0.2378
Mg 0.0000 0.2559 0.7622
Mg 0.0000 0.5000 0.0000
Mg 0.0000 0.5000 0.5000
Mg 0.0000 0.7441 0.2378
Mg 0.0000 0.7441 0.7622
Mg 0.5000 0.0000 0.2293
Mg 0.5000 0.0000 0.7707
Mg 0.5000 0.2494 0.0000
Mg 0.5000 0.2641 0.5000
Mg 0.5000 0.5000 0.2457
Mg 0.5000 0.5000 0.7543
Mg 0.5000 0.7359 0.5000
Mg 0.5000 0.7506 0.0000
Bi 0.0000 0.0000 0.5000
O 0.0000 0.0000 0.2426
O 0.0000 0.0000 0.7574
O 0.0000 0.2669 0.0000
O 0.0000 0.2684 0.5000
O 0.0000 0.5000 0.2506
O 0.0000 0.5000 0.7494
O 0.0000 0.7316 0.5000
O 0.0000 0.7331 0.0000
O 0.5000 0.0000 0.0000
O 0.5000 0.0000 0.5000
O 0.5000 0.2498 0.2515
O 0.5000 0.2498 0.7485
O 0.5000 0.5000 0.0000
O 0.5000 0.5000 0.5000
O 0.5000 0.7502 0.2515
O 0.5000 0.7502 0.7485



Computed powder XRD pattern of Na6MgBi2O8 for copper Kα, from a crystal structure in the Materials Project, relaxed with GGA-PBE.

Principal peaks in the range 15° ≤ 2θ ≤ 90°, in order of falling intensity:
| 2θ/deg | d/Å | I (rel.) |
| --- | --- | --- |
| 15.51 | 5.714 | 1000 |
| 20.27 | 4.382 | 707 |
| 37.20 | 2.417 | 504 |
| 34.57 | 2.595 | 483 |
| 31.61 | 2.831 | 475 |
| 31.28 | 2.860 | 471 |
| 21.58 | 4.119 | 380 |
| 31.81 | 2.813 | 372 |

Structural model:
Unit cell a=6.1829 b=6.2326 c=6.7179 alpha=90.44 beta=90.96 gamma=113.52
Atoms (fractional coordinates):
Na 0.0000 0.0000 0.0000
Na 0.0359 0.3663 0.2872
Na 0.4839 0.9847 0.7945
Na 0.5292 0.4713 0.0427
Na 0.5809 0.0023 0.2576
Na 0.9554 0.0093 0.5893
Mg 0.1125 0.8175 0.3125
Bi 0.0109 0.4925 0.8062
Bi 0.5286 0.4681 0.5200
O 0.2183 0.7196 0.0527
O 0.2228 0.7029 0.5585
O 0.2302 0.2978 0.7883
O 0.2786 0.1635 0.3053
O 0.7610 0.2669 0.5617
O 0.7715 0.7446 0.3085
O 0.7872 0.6839 0.7876
O 0.7877 0.2432 0.0068



Computed powder XRD pattern of Na4MgBi2O6 for copper Kα, from a crystal structure in the Materials Project, relaxed with GGA-PBE.

Principal peaks in the range 15° ≤ 2θ ≤ 90°, in order of falling intensity:
| 2θ/deg | d/Å | I (rel.) |
| --- | --- | --- |
| 17.07 | 5.194 | 1000 |
| 33.39 | 2.683 | 748 |
| 18.38 | 4.828 | 699 |
| 16.55 | 5.357 | 699 |
| 20.71 | 4.289 | 670 |
| 30.99 | 2.886 | 590 |
| 22.80 | 3.900 | 572 |
| 27.65 | 3.226 | 369 |

Structural model:
Unit cell a=6.4001 b=6.5485 c=6.6481 alpha=60.64 beta=82.39 gamma=64.98
Atoms (fractional coordinates):
Na 0.0000 0.0000 0.0000
Na 0.1245 0.7913 0.5360
Na 0.4959 0.0775 0.8423
Na 0.6284 0.9354 0.3648
Mg 0.6259 0.4560 0.3762
Bi 0.1126 0.3857 0.2769
Bi 0.5535 0.5313 0.9036
O 0.2685 0.4076 0.9506
O 0.2882 0.6128 0.2827
O 0.3630 0.9336 0.6328
O 0.7057 0.3406 0.7013
O 0.7689 0.7130 0.1681
O 0.8190 0.1820 0.2868



Computed powder XRD pattern of Na4MgBi2O6 for copper Kα, from a crystal structure in the Materials Project, relaxed with GGA-PBE.

Principal peaks in the range 15° ≤ 2θ ≤ 90°, in order of falling intensity:
| 2θ/deg | d/Å | I (rel.) |
| --- | --- | --- |
| 21.60 | 4.115 | 1000 |
| 17.41 | 5.094 | 911 |
| 29.41 | 3.037 | 757 |
| 21.28 | 4.176 | 742 |
| 17.09 | 5.187 | 739 |
| 26.75 | 3.333 | 700 |
| 30.40 | 2.940 | 626 |
| 36.71 | 2.448 | 591 |

Structural model:
Unit cell a=5.9908 b=6.0331 c=6.7914 alpha=84.00 beta=79.02 gamma=61.32
Atoms (fractional coordinates):
Na 0.0000 0.0000 0.0000
Na 0.0915 0.6849 0.4924
Na 0.6084 0.7948 0.9740
Na 0.7828 0.4001 0.2851
Mg 0.7337 0.3209 0.7134
Bi 0.2400 0.4062 0.9786
Bi 0.4594 0.9947 0.4855
O 0.1033 0.2149 0.6777
O 0.2381 0.1019 0.1614
O 0.4999 0.6220 0.5648
O 0.6066 0.3944 0.0092
O 0.7099 0.0058 0.6827
O 0.9470 0.6855 0.1854



Computed powder XRD pattern of Na2MgBi2O6 for copper Kα, from a crystal structure in the Materials Project, relaxed with GGA-PBE.

Principal peaks in the range 15° ≤ 2θ ≤ 90°, in order of falling intensity:
| 2θ/deg | d/Å | I (rel.) |
| --- | --- | --- |
| 31.21 | 2.866 | 1000 |
| 16.92 | 5.239 | 909 |
| 35.71 | 2.514 | 853 |
| 28.98 | 3.081 | 815 |
| 18.75 | 4.733 | 708 |
| 47.00 | 1.933 | 403 |
| 43.11 | 2.098 | 384 |
| 54.18 | 1.693 | 336 |

Structural model:
Unit cell a=6.1964 b=6.1964 c=6.1964 alpha=55.09 beta=55.09 gamma=55.09
Atoms (fractional coordinates):
Na 0.0000 0.0000 0.0000
Na 0.1482 0.1482 0.1482
Mg 0.8234 0.8234 0.8234
Bi 0.3339 0.3339 0.3339
Bi 0.6181 0.6181 0.6181
O 0.0366 0.4657 0.6922
O 0.1808 0.9819 0.5720
O 0.4657 0.6922 0.0366
O 0.5720 0.1808 0.9819
O 0.6922 0.0366 0.4657
O 0.9819 0.5720 0.1808



Computed powder XRD pattern of Na2MgBi2O6 for copper Kα, from a crystal structure in the Materials Project, relaxed with GGA-PBE.

Principal peaks in the range 15° ≤ 2θ ≤ 90°, in order of falling intensity:
| 2θ/deg | d/Å | I (rel.) |
| --- | --- | --- |
| 30.61 | 2.920 | 1000 |
| 34.78 | 2.580 | 873 |
| 16.11 | 5.503 | 859 |
| 20.59 | 4.313 | 769 |
| 32.38 | 2.765 | 679 |
| 18.34 | 4.836 | 593 |
| 45.28 | 2.003 | 574 |
| 45.16 | 2.008 | 364 |

Structural model:
Unit cell a=6.4537 b=6.4537 c=6.4537 alpha=53.81 beta=53.81 gamma=53.81
Atoms (fractional coordinates):
Na 0.1209 0.1209 0.1209
Na 0.8791 0.8791 0.8791
Mg 0.5000 0.5000 0.5000
Bi 0.3178 0.3178 0.3178
Bi 0.6822 0.6822 0.6822
O 0.1141 0.4569 0.6783
O 0.3217 0.8859 0.5431
O 0.4569 0.6783 0.1141
O 0.5431 0.3217 0.8859
O 0.6783 0.1141 0.4569
O 0.8859 0.5431 0.3217



Computed powder XRD pattern of NaMg6BiO8 for copper Kα, from a crystal structure in the Materials Project, relaxed with GGA-PBE.

Principal peaks in the range 15° ≤ 2θ ≤ 90°, in order of falling intensity:
| 2θ/deg | d/Å | I (rel.) |
| --- | --- | --- |
| 22.14 | 4.014 | 1000 |
| 19.77 | 4.491 | 977 |
| 40.22 | 2.242 | 898 |
| 28.10 | 3.175 | 843 |
| 34.60 | 2.593 | 628 |
| 29.87 | 2.991 | 588 |
| 58.06 | 1.589 | 515 |
| 40.05 | 2.251 | 419 |

Structural model:
Unit cell a=4.4845 b=4.4845 c=9.0058 alpha=90.00 beta=90.00 gamma=90.00
Atoms (fractional coordinates):
Na 0.0000 0.0000 0.0000
Mg 0.0000 0.5000 0.2246
Mg 0.0000 0.5000 0.7754
Mg 0.5000 0.0000 0.2246
Mg 0.5000 0.0000 0.7754
Mg 0.5000 0.5000 0.0000
Mg 0.5000 0.5000 0.5000
Bi 0.0000 0.0000 0.5000
O 0.0000 0.0000 0.2445
O 0.0000 0.0000 0.7555
O 0.0000 0.5000 0.0000
O 0.0000 0.5000 0.5000
O 0.5000 0.0000 0.0000
O 0.5000 0.0000 0.5000
O 0.5000 0.5000 0.2525
O 0.5000 0.5000 0.7475



What did the eleventh record say?
Computed powder XRD pattern of Na2MgBi2O6 for copper Kα, from a crystal structure in the Materials Project, relaxed with GGA-PBE.

Principal peaks in the range 15° ≤ 2θ ≤ 90°, in order of falling intensity:
| 2θ/deg | d/Å | I (rel.) |
| --- | --- | --- |
| 30.61 | 2.920 | 1000 |
| 34.78 | 2.580 | 873 |
| 16.11 | 5.503 | 859 |
| 20.59 | 4.313 | 769 |
| 32.38 | 2.765 | 679 |
| 18.34 | 4.836 | 593 |
| 45.28 | 2.003 | 574 |
| 45.16 | 2.008 | 364 |

Structural model:
Unit cell a=6.4537 b=6.4537 c=6.4537 alpha=53.81 beta=53.81 gamma=53.81
Atoms (fractional coordinates):
Na 0.1209 0.1209 0.1209
Na 0.8791 0.8791 0.8791
Mg 0.5000 0.5000 0.5000
Bi 0.3178 0.3178 0.3178
Bi 0.6822 0.6822 0.6822
O 0.1141 0.4569 0.6783
O 0.3217 0.8859 0.5431
O 0.4569 0.6783 0.1141
O 0.5431 0.3217 0.8859
O 0.6783 0.1141 0.4569
O 0.8859 0.5431 0.3217